Starting from DFT lattice parameters and positions (GGA+U), the XRD peak list of Li13Mn2O12 was simulated for Cu Ka.
Kinematic intensities with the Lorentz-polarization factor, no thermal factor.

Atomic structure:
Cell: 5.495 5.731 9.387 Å, 74.89 89.04 62.07°
Space group P1 (No. 1)
Unique sites:
Li1 0.000 0.000 0.000 [1 per cell]
Li2 0.015 0.249 0.717 [1 per cell]
Li3 0.128 0.620 0.330 [1 per cell]
Li4 0.151 0.132 0.328 [1 per cell]
Li5 0.319 0.907 0.599 [1 per cell]
Li6 0.343 0.419 0.597 [1 per cell]
Li7 0.456 0.790 0.210 [1 per cell]
Li8 0.474 0.041 0.928 [1 per cell]
Li9 0.564 0.196 0.193 [1 per cell]
Li10 0.633 0.606 0.832 [1 per cell]
Li11 0.735 0.020 0.464 [1 per cell]
Li12 0.838 0.433 0.095 [1 per cell]
Li13 0.907 0.843 0.734 [1 per cell]
Mn1 0.235 0.520 0.964 [1 per cell]
Mn2 0.736 0.519 0.464 [1 per cell]
O1 0.139 0.305 0.488 [1 per cell]
O2 0.215 0.415 0.789 [1 per cell]
O3 0.229 0.185 0.093 [1 per cell]
O4 0.241 0.854 0.834 [1 per cell]
O5 0.256 0.624 0.138 [1 per cell]
O6 0.332 0.734 0.439 [1 per cell]
O7 0.631 0.307 0.983 [1 per cell]
O8 0.731 0.831 0.323 [1 per cell]
O9 0.735 0.676 0.626 [1 per cell]
O10 0.736 0.363 0.302 [1 per cell]
O11 0.741 0.207 0.604 [1 per cell]
O12 0.840 0.732 0.944 [1 per cell]

Most intense lines, 10° ≤ 2θ ≤ 90°, sorted by position:
2θ (°)	I (rel.)	h k l
18.3	43	0 1 0
19.8	100	1 0 -1
22.0	20	1 0 1
22.5	29	1 1 -1
22.8	28	0 1 2
36.3	19	1 2 -1
37.3	24	2 0 0
38.2	13	1 2 3
50.3	11	1 2 -3
53.2	13	1 2 5